(1)
Diffraction record for TaCr3Ag2S8. The powder diffraction line list is calculated, not measured: it uses a cell relaxed with GGA-PBE and λ = 1.5418 Å (Cu Kα).
Lines closer than 0.1° are merged.

Structural model:
Lattice parameters (Å, degrees): 6.529 7.642 12.342 98.19 94.34 90.28
Element x y z (fractional)
Ta1 0.000 0.000 0.000
Ta2 0.219 0.845 0.393
Cr1 0.102 0.187 0.696
Cr2 0.236 0.350 0.401
Cr3 0.493 0.248 0.990
Cr4 0.497 0.739 0.990
Cr5 0.610 0.410 0.695
Cr6 0.707 0.590 0.401
Ag1 0.108 0.663 0.696
Ag2 0.605 0.917 0.696
Ag3 0.719 0.097 0.400
Ag4 0.978 0.494 0.993
S1 0.036 0.577 0.335
S2 0.072 0.079 0.322
S3 0.181 0.252 0.071
S4 0.181 0.773 0.066
S5 0.233 0.908 0.580
S6 0.275 0.372 0.587
S7 0.437 0.219 0.803
S8 0.476 0.677 0.808
S9 0.537 0.348 0.327
S10 0.538 0.810 0.323
S11 0.629 0.512 0.063
S12 0.665 0.010 0.059
S13 0.740 0.619 0.580
S14 0.771 0.161 0.603
S15 0.941 0.427 0.789
S16 0.981 0.969 0.814

Largest 12 diffraction maxima, in order of rising 2θ, 5° ≤ 2θ ≤ 70°:
| (hkl) | 2θ/deg | d/Å | I (rel.) |
| --- | --- | --- | --- |
| 0 0 3 | 21.9 | 4.060 | 100 |
| 1 -2 1 | 27.4 | 3.250 | 59 |
| -1 2 1 | 28.7 | 3.112 | 36 |
| 2 0 1 | 28.9 | 3.086 | 36 |
| 1 2 -2 | 29.0 | 3.080 | 35 |
| 1 2 2 | 33.3 | 2.691 | 27 |
| 1 -2 3 | 33.5 | 2.672 | 26 |
| 2 0 -3 | 33.9 | 2.641 | 28 |
| 2 0 4 | 42.1 | 2.144 | 35 |
| 0 4 -1 | 47.6 | 1.910 | 27 |
| 3 -2 0 | 48.0 | 1.895 | 27 |
| 3 2 -1 | 48.2 | 1.887 | 26 |

---

(2)
Diffraction record for TaCr3Ag2S8. The powder diffraction line list is calculated, not measured: it uses a cell relaxed with GGA-PBE and λ = 1.5418 Å (Cu Kα).
Lines closer than 0.1° are merged.

Structural model:
Lattice parameters (Å, degrees): 3.483 11.938 12.242 90.00 90.00 90.00
Element x y z (fractional)
Ta1 0.000 0.098 0.000
Ta2 0.500 0.902 0.500
Cr1 0.000 0.147 0.360
Cr2 0.000 0.592 0.081
Cr3 0.000 0.642 0.706
Cr4 0.500 0.358 0.206
Cr5 0.500 0.408 0.581
Cr6 0.500 0.853 0.860
Ag1 0.000 0.395 0.870
Ag2 0.000 0.873 0.197
Ag3 0.500 0.127 0.697
Ag4 0.500 0.605 0.370
S1 0.000 0.048 0.535
S2 0.000 0.212 0.165
S3 0.000 0.304 0.667
S4 0.000 0.482 0.243
S5 0.000 0.543 0.533
S6 0.000 0.717 0.896
S7 0.000 0.797 0.408
S8 0.000 0.986 0.820
S9 0.500 0.014 0.320
S10 0.500 0.203 0.908
S11 0.500 0.283 0.396
S12 0.500 0.457 0.033
S13 0.500 0.518 0.743
S14 0.500 0.696 0.167
S15 0.500 0.788 0.665
S16 0.500 0.952 0.035

Largest 12 diffraction maxima, in order of rising 2θ, 5° ≤ 2θ ≤ 70°:
| (hkl) | 2θ/deg | d/Å | I (rel.) |
| --- | --- | --- | --- |
| 0 1 0 | 7.4 | 11.938 | 34 |
| 0 1 1 | 10.3 | 8.547 | 44 |
| 0 3 1 | 23.5 | 3.785 | 32 |
| 0 2 3 | 26.5 | 3.369 | 100 |
| 1 0 1 | 26.6 | 3.350 | 35 |
| 1 2 2 | 33.2 | 2.700 | 53 |
| 1 3 1 | 35.0 | 2.563 | 57 |
| 1 3 2 | 37.3 | 2.409 | 77 |
| 1 4 1 | 40.5 | 2.228 | 25 |
| 1 1 5 | 45.9 | 1.975 | 47 |
| 0 6 3 | 51.1 | 1.789 | 37 |
| 2 0 0 | 52.5 | 1.742 | 37 |